NdSm9Mg2: calculated X-ray diffraction stick pattern (CuKα), based on a PBE-relaxed structure.

Structural model:
```
data_NdSm9Mg2
_chemical_formula_sum 'Nd1 Sm9 Mg2'
_symmetry_space_group_name_H-M 'P 4/m m m'
_symmetry_Int_Tables_number 123
_symmetry_space_group_name_Hall '-P 4 2'
_cell_length_a 5.039
_cell_length_b 5.039
_cell_length_c 15.176
_cell_angle_alpha 90.00
_cell_angle_beta 90.00
_cell_angle_gamma 90.00
loop_
_atom_site_label
_atom_site_fract_x
_atom_site_fract_y
_atom_site_fract_z
_atom_site_occupancy
Nd1 0.000 0.000 0.000 1
Sm1 0.000 0.500 0.172 1
Sm2 0.000 0.500 0.500 1
Sm3 0.500 0.500 0.000 1
Sm4 0.500 0.500 0.338 1
Mg1 0.000 0.000 0.338 1
```

Largest 10 diffraction maxima, low angle first, 2θ = 5–70°:
2θ = 17.6°, I 7.7; 2θ = 25.0°, I 6.8; 2θ = 30.7°, I 100.0; 2θ = 35.5°, I 16.7; 2θ = 35.6°, I 33.7; 2θ = 51.2°, I 23.6; 2θ = 51.3°, I 12.0; 2θ = 60.8°, I 13.7; 2θ = 61.0°, I 28.3; 2θ = 63.9°, I 12.1